[1]
For Ce8ZnIn2, a PBE-relaxed structure gives the theoretical powder X-ray diffraction pattern in this record (Cu Ka).
Neutral-atom scattering factors, no anomalous dispersion.

Top 10 peaks for 2θ from 5° to 70°, sorted by position:
2θ 29.6, I 44
2θ 31.2, I 25
2θ 31.5, I 58
2θ 32.3, I 27
2θ 33.3, I 71
2θ 33.4, I 100
2θ 33.8, I 98
2θ 35.2, I 75
2θ 37.0, I 27
2θ 45.5, I 23

Atomic structure:
```
11
Lattice="5.3150 0.0000 0.0000 0.2282 6.7996 0.0000 2.2407 2.6098 8.0887" Properties=species:S:1:pos:R:3 pbc="T T T"
Ce 0.2210 1.3376 0.0448
Ce 2.7422 6.0374 5.0451
Ce 2.6714 4.9877 2.4801
Ce 2.4767 0.9757 1.7166
Ce 5.3072 8.4337 6.3721
Ce 5.1125 4.4216 5.6086
Ce 5.0417 3.3720 3.0436
Ce 7.5629 8.0718 8.0438
Zn 2.7716 3.3998 0.0000
In 2.4194 2.6271 4.8510
In 5.3645 6.7823 3.2377
```

---

[2]
For Ce3ZnIn, a PBE-relaxed structure gives the theoretical powder X-ray diffraction pattern in this record (Cu Ka).
Neutral-atom scattering factors, no anomalous dispersion.

Top 10 peaks for 2θ from 5° to 70°, sorted by position:
2θ 28.4, I 38
2θ 34.1, I 48
2θ 34.6, I 100
2θ 36.1, I 16
2θ 38.5, I 36
2θ 40.1, I 15
2θ 44.6, I 16
2θ 57.4, I 15
2θ 61.4, I 18
2θ 68.2, I 12

Atomic structure:
```
10
Lattice="5.2522 -7.8401 0.0000 5.2522 7.8401 0.0000 0.0000 0.0000 3.2263" Properties=species:S:1:pos:R:3 pbc="T T T"
Ce 2.7064 1.3694 0.0000
Ce 5.2522 4.4623 0.0000
Ce 2.7064 -1.3694 0.0000
Ce 7.7980 1.3694 0.0000
Ce 5.2522 -4.4623 0.0000
Ce 7.7980 -1.3694 0.0000
Zn 2.6261 3.9201 1.6132
Zn 2.6261 -3.9201 1.6132
In 0.0000 0.0000 1.6132
In 5.2522 0.0000 1.6132
```

---

Which formula does entry 1 have? Ce8ZnIn2